# ZrTlAu3S4
Computed XRD peak list, Cu Kα X-rays. Input: a structure optimized by DFT (GGA-PBE).

Peak list (6 most intense, 15° ≤ 2θ ≤ 90°, sorted by position)
2θ/deg  d (Å)  intensity
24.8  3.594  100.0
28.7  3.113  59.3
41.0  2.201  81.0
48.5  1.877  50.9
67.3  1.392  23.9
74.7  1.271  26.9

Structure:
```
data_ZrTlAu3S4
_chemical_formula_sum 'Zr1 Tl1 Au3 S4'
_space_group_name_H-M_alt 'P -4 3 m'
_space_group_IT_number 215
_space_group_name_Hall 'P -4 2 3'
_cell_length_a 6.2252
_cell_length_b 6.2252
_cell_length_c 6.2252
_cell_angle_alpha 90.00
_cell_angle_beta 90.00
_cell_angle_gamma 90.00
loop_
_atom_site_label
_atom_site_type_symbol
_atom_site_fract_x
_atom_site_fract_y
_atom_site_fract_z
Zr1 Zr 0.0000 0.0000 0.0000
Tl1 Tl 0.5000 0.5000 0.5000
Au1 Au 0.0000 0.0000 0.5000
S1 S 0.2255 0.2255 0.7745
```

---

# HoMgHg6
Computed XRD peak list, Cu Kα X-rays. Input: a structure optimized by DFT (GGA-PBE).

Peak list (6 most intense, 15° ≤ 2θ ≤ 90°, sorted by position)
2θ/deg  d (Å)  intensity
31.5  2.844  25.0
36.0  2.496  22.8
36.4  2.471  100.0
56.0  1.642  19.3
64.9  1.436  18.9
68.4  1.372  21.5

Structure:
```
data_HoMgHg6
_chemical_formula_sum 'Ho1 Mg1 Hg6'
_space_group_name_H-M_alt 'P -6 m 2'
_space_group_IT_number 187
_space_group_name_Hall 'P -6 2'
_cell_length_a 6.5672
_cell_length_b 6.5672
_cell_length_c 4.9927
_cell_angle_alpha 90.00
_cell_angle_beta 90.00
_cell_angle_gamma 120.00
loop_
_atom_site_label
_atom_site_type_symbol
_atom_site_fract_x
_atom_site_fract_y
_atom_site_fract_z
Ho1 Ho 0.0000 0.0000 0.0000
Mg1 Mg 0.3333 0.6667 0.5000
Hg1 Hg 0.0085 0.5042 0.0000
Hg2 Hg 0.3345 0.1672 0.5000
```

---

# LaZr2U2
Computed XRD peak list, Cu Kα X-rays. Input: a structure optimized by DFT (GGA-PBE).

Peak list (6 most intense, 15° ≤ 2θ ≤ 90°, sorted by position)
2θ/deg  d (Å)  intensity
22.7  3.922  51.7
28.6  3.125  57.4
33.3  2.689  75.1
35.3  2.543  100.0
35.7  2.512  82.4
41.7  2.165  63.7

Structure:
```
data_LaZr2U2
_chemical_formula_sum 'La8 Zr16 U16'
_space_group_name_H-M_alt 'F d d 2'
_space_group_IT_number 43
_space_group_name_Hall 'F 2 -2d'
_cell_length_a 8.5959
_cell_length_b 20.6855
_cell_length_c 5.7312
_cell_angle_alpha 90.00
_cell_angle_beta 90.00
_cell_angle_gamma 90.00
loop_
_atom_site_label
_atom_site_type_symbol
_atom_site_fract_x
_atom_site_fract_y
_atom_site_fract_z
La1 La 0.0000 0.0000 0.0000
Zr1 Zr 0.0869 0.3146 0.7370
U1 U 0.0448 0.1490 0.7896
```

---

# CuS4N4Cl2
Computed XRD peak list, Cu Kα X-rays. Input: a structure optimized by DFT (GGA-PBE).

Peak list (6 most intense, 15° ≤ 2θ ≤ 90°, sorted by position)
2θ/deg  d (Å)  intensity
16.3  5.446  60.7
19.4  4.578  98.5
27.1  3.285  72.7
33.6  2.668  100.0
39.7  2.270  64.9
43.2  2.096  58.5

Structure:
```
data_CuS4N4Cl2
_chemical_formula_sum 'Cu4 S16 N16 Cl8'
_space_group_name_H-M_alt 'P n m a'
_space_group_IT_number 62
_cell_length_a 18.8902
_cell_length_b 6.5648
_cell_length_c 6.6664
_cell_angle_alpha 90.00
_cell_angle_beta 90.00
_cell_angle_gamma 90.00
loop_
_space_group_symop_operation_xyz
'x,y,z'
'-x,-y,-z'
'-x+1/2,-y,z+1/2'
'x+1/2,y,-z+1/2'
'x+1/2,-y+1/2,-z+1/2'
'-x+1/2,y+1/2,z+1/2'
'-x,y+1/2,-z'
'x,-y+1/2,z'
loop_
_atom_site_label
_atom_site_type_symbol
_atom_site_fract_x
_atom_site_fract_y
_atom_site_fract_z
Cu1 Cu 0.0000 0.0000 0.0000
S1 S 0.1281 0.0441 0.3855
S2 S 0.1714 0.2500 0.0500
S3 S 0.2464 0.7500 0.8676
N1 N 0.1284 0.0536 0.1410
N2 N 0.2109 0.0524 0.4520
Cl1 Cl 0.0196 0.2500 0.7676
Cl2 Cl 0.0397 0.7500 0.7880
```

---

# LaPrB2Pt8
Computed XRD peak list, Cu Kα X-rays. Input: a structure optimized by DFT (GGA-PBE).

Peak list (6 most intense, 15° ≤ 2θ ≤ 90°, sorted by position)
2θ/deg  d (Å)  intensity
34.5  2.598  36.3
34.9  2.568  42.8
37.6  2.390  93.4
40.2  2.243  100.0
44.6  2.031  55.0
67.9  1.380  37.2

Structure:
```
data_LaPrB2Pt8
_chemical_formula_sum 'La1 Pr1 B2 Pt8'
_space_group_name_H-M_alt 'P 6/m m m'
_space_group_IT_number 191
_space_group_name_Hall '-P 6 2'
_cell_length_a 5.5189
_cell_length_b 5.5189
_cell_length_c 7.7029
_cell_angle_alpha 90.00
_cell_angle_beta 90.00
_cell_angle_gamma 120.00
loop_
_atom_site_label
_atom_site_type_symbol
_atom_site_fract_x
_atom_site_fract_y
_atom_site_fract_z
La1 La 0.0000 0.0000 0.0000
Pr1 Pr 0.0000 0.0000 0.5000
B1 B 0.3333 0.6667 0.5000
Pt1 Pt 0.0000 0.5000 0.3010
Pt2 Pt 0.3333 0.6667 0.0000
```

---

# KAl6In3Co2
Computed XRD peak list, Cu Kα X-rays. Input: a structure optimized by DFT (GGA-PBE).

Peak list (6 most intense, 15° ≤ 2θ ≤ 90°, sorted by position)
2θ/deg  d (Å)  intensity
22.5  3.955  36.3
24.1  3.695  53.2
33.2  2.700  100.0
39.5  2.281  43.5
42.4  2.133  44.7
48.5  1.877  56.1

Structure:
```
data_KAl6In3Co2
_chemical_formula_sum 'K1 Al6 In3 Co2'
_space_group_name_H-M_alt 'P 6/m m m'
_space_group_IT_number 191
_space_group_name_Hall '-P 6 2'
_cell_length_a 8.5321
_cell_length_b 8.5321
_cell_length_c 3.9551
_cell_angle_alpha 90.00
_cell_angle_beta 90.00
_cell_angle_gamma 120.00
loop_
_atom_site_label
_atom_site_type_symbol
_atom_site_fract_x
_atom_site_fract_y
_atom_site_fract_z
K1 K 0.0000 0.0000 0.0000
Al1 Al 0.2202 0.4404 0.5000
In1 In 0.0000 0.5000 0.0000
Co1 Co 0.3333 0.6667 0.0000
```

---

# Er3In3CuAgPd
Computed XRD peak list, Cu Kα X-rays. Input: a structure optimized by DFT (GGA-PBE).

Peak list (6 most intense, 15° ≤ 2θ ≤ 90°, sorted by position)
2θ/deg  d (Å)  intensity
33.0  2.712  100.0
35.6  2.523  53.1
35.7  2.512  72.7
40.5  2.225  30.4
60.9  1.522  21.9
65.7  1.421  26.5

Structure:
```
data_Er3In3CuAgPd
_chemical_formula_sum 'Er3 In3 Cu1 Ag1 Pd1'
_space_group_name_H-M_alt 'P -6'
_space_group_IT_number 174
_cell_length_a 7.7080
_cell_length_b 7.7080
_cell_length_c 3.8156
_cell_angle_alpha 90.00
_cell_angle_beta 90.00
_cell_angle_gamma 120.00
loop_
_space_group_symop_operation_xyz
'x,y,z'
'-x+y,-x,-z'
'-y,x-y,z'
'x,y,-z'
'-x+y,-x,z'
'-y,x-y,-z'
loop_
_atom_site_label
_atom_site_type_symbol
_atom_site_fract_x
_atom_site_fract_y
_atom_site_fract_z
Er1 Er 0.0809 0.7325 0.0000
In1 In 0.4126 0.0818 0.5000
Cu1 Cu 0.6667 0.3333 0.0000
Ag1 Ag 0.0000 0.0000 0.5000
Pd1 Pd 0.3333 0.6667 0.5000
```

---

# CoPdPt2N6
Computed XRD peak list, Cu Kα X-rays. Input: a structure optimized by DFT (GGA-PBE).

Peak list (6 most intense, 15° ≤ 2θ ≤ 90°, sorted by position)
2θ/deg  d (Å)  intensity
18.3  4.846  27.0
32.2  2.783  100.0
33.2  2.695  94.9
38.4  2.346  46.6
54.4  1.685  57.3
64.9  1.437  27.3

Structure:
```
data_CoPdPt2N6
_chemical_formula_sum 'Co2 Pd2 Pt4 N12'
_space_group_name_H-M_alt 'C m m m'
_space_group_IT_number 65
_space_group_name_Hall '-C 2 2'
_cell_length_a 6.7975
_cell_length_b 9.6923
_cell_length_c 3.2424
_cell_angle_alpha 90.00
_cell_angle_beta 90.00
_cell_angle_gamma 90.00
loop_
_atom_site_label
_atom_site_type_symbol
_atom_site_fract_x
_atom_site_fract_y
_atom_site_fract_z
Co1 Co 0.0000 0.0000 0.0000
Pd1 Pd 0.0000 0.5000 0.0000
Pt1 Pt 0.2500 0.2500 0.5000
N1 N 0.0000 0.1274 0.5000
N2 N 0.2459 0.3808 0.0000
```

---

# Rb2TmScS4
Computed XRD peak list, Cu Kα X-rays. Input: a structure optimized by DFT (GGA-PBE).

Peak list (6 most intense, 15° ≤ 2θ ≤ 90°, sorted by position)
2θ/deg  d (Å)  intensity
23.3  3.815  31.0
26.8  3.324  35.8
28.7  3.110  100.0
31.6  2.830  87.6
44.5  2.038  50.8
46.2  1.966  46.8

Structure:
```
data_Rb2TmScS4
_chemical_formula_sum 'Rb2 Tm1 Sc1 S4'
_space_group_name_H-M_alt 'P -3 m 1'
_space_group_IT_number 164
_space_group_name_Hall '-P 3 2"'
_cell_length_a 3.9326
_cell_length_b 3.9326
_cell_length_c 15.2598
_cell_angle_alpha 90.00
_cell_angle_beta 90.00
_cell_angle_gamma 120.00
loop_
_atom_site_label
_atom_site_type_symbol
_atom_site_fract_x
_atom_site_fract_y
_atom_site_fract_z
Rb1 Rb 0.3333 0.6667 0.2536
Tm1 Tm 0.0000 0.0000 0.0000
Sc1 Sc 0.0000 0.0000 0.5000
S1 S 0.3333 0.6667 0.5897
S2 S 0.3333 0.6667 0.9025
```

---

# TbHf3C2Se2
Computed XRD peak list, Cu Kα X-rays. Input: a structure optimized by DFT (GGA-PBE).

Peak list (6 most intense, 15° ≤ 2θ ≤ 90°, sorted by position)
2θ/deg  d (Å)  intensity
29.5  3.026  27.7
36.4  2.468  100.0
52.4  1.747  26.2
65.5  1.426  18.1
69.6  1.352  16.0
88.5  1.105  16.7

Structure:
```
data_TbHf3C2Se2
_chemical_formula_sum 'Tb1 Hf3 C2 Se2'
_space_group_name_H-M_alt 'P 3 m 1'
_space_group_IT_number 156
_cell_length_a 3.4942
_cell_length_b 3.4942
_cell_length_c 12.7993
_cell_angle_alpha 90.00
_cell_angle_beta 90.00
_cell_angle_gamma 120.00
loop_
_space_group_symop_operation_xyz
'x,y,z'
'-y,x-y,z'
'-x+y,-x,z'
'-y,-x,z'
'-x+y,y,z'
'x,x-y,z'
loop_
_atom_site_label
_atom_site_type_symbol
_atom_site_fract_x
_atom_site_fract_y
_atom_site_fract_z
Tb1 Tb 0.0000 0.0000 0.0000
Hf1 Hf 0.0000 0.0000 0.3136
Hf2 Hf 0.3333 0.6667 0.4973
Hf3 Hf 0.3333 0.6667 0.7994
C1 C 0.6667 0.3333 0.4062
C2 C 0.6667 0.3333 0.8837
Se1 Se 0.0000 0.0000 0.6471
Se2 Se 0.3333 0.6667 0.1681
```

---

# TbDy2Cu4Si2Sn2
Computed XRD peak list, Cu Kα X-rays. Input: a structure optimized by DFT (GGA-PBE).

Peak list (6 most intense, 15° ≤ 2θ ≤ 90°, sorted by position)
2θ/deg  d (Å)  intensity
26.9  3.319  20.4
34.0  2.639  33.0
34.6  2.590  63.5
35.2  2.552  100.0
39.0  2.308  17.3
41.8  2.162  30.7

Structure:
```
data_TbDy2Cu4Si2Sn2
_chemical_formula_sum 'Tb2 Dy4 Cu8 Si4 Sn4'
_space_group_name_H-M_alt 'I m m m'
_space_group_IT_number 71
_space_group_name_Hall '-I 2 2'
_cell_length_a 4.3245
_cell_length_b 6.6374
_cell_length_c 14.3811
_cell_angle_alpha 90.00
_cell_angle_beta 90.00
_cell_angle_gamma 90.00
loop_
_atom_site_label
_atom_site_type_symbol
_atom_site_fract_x
_atom_site_fract_y
_atom_site_fract_z
Tb1 Tb 0.0000 0.0000 0.0000
Dy1 Dy 0.0000 0.5000 0.1241
Cu1 Cu 0.0000 0.3103 0.3465
Si1 Si 0.0000 0.1815 0.5000
Sn1 Sn 0.0000 0.0000 0.2185
```

---

# Hf2TeAs2S
Computed XRD peak list, Cu Kα X-rays. Input: a structure optimized by DFT (GGA-PBE).

Peak list (6 most intense, 15° ≤ 2θ ≤ 90°, sorted by position)
2θ/deg  d (Å)  intensity
18.0  4.927  63.1
32.1  2.786  100.0
38.7  2.327  31.7
41.0  2.204  65.0
42.6  2.123  65.5
44.0  2.056  29.0

Structure:
```
data_Hf2TeAs2S
_chemical_formula_sum 'Hf4 Te2 As4 S2'
_space_group_name_H-M_alt 'I m m 2'
_space_group_IT_number 44
_cell_length_a 3.6493
_cell_length_b 5.3281
_cell_length_c 12.9364
_cell_angle_alpha 90.00
_cell_angle_beta 90.00
_cell_angle_gamma 90.00
loop_
_space_group_symop_operation_xyz
'x,y,z'
'-x,-y,z'
'-x,y,z'
'x,-y,z'
'x+1/2,y+1/2,z+1/2'
'-x+1/2,-y+1/2,z+1/2'
'-x+1/2,y+1/2,z+1/2'
'x+1/2,-y+1/2,z+1/2'
loop_
_atom_site_label
_atom_site_type_symbol
_atom_site_fract_x
_atom_site_fract_y
_atom_site_fract_z
Hf1 Hf 0.0000 0.0000 0.0000
Hf2 Hf 0.0000 0.0000 0.2556
Te1 Te 0.0000 0.5000 0.9247
As1 As 0.0000 0.2404 0.6308
S1 S 0.0000 0.5000 0.3472
```

---

What is the formula in the first record?
ZrTlAu3S4